No. 1
Starting from a crystal structure in the Materials Project, relaxed with PBE+U, the X-ray diffraction stick pattern of FeBiO3 was computed for Cu Kα, 1.54184 Å.
Kinematic intensities with the Lorentz-polarization factor, no thermal factor.

Structural model:
abc: 5.580 5.577 7.892
angles: 90.00 90.00 90.00
Space group Cmcm (No. 63)
Asymmetric unit:
Fe (0.000, 0.002, 0.250) [4 per cell]
Bi (0.000, 0.500, 0.000) [4 per cell]
O (0.000, 0.000, 0.000) [4 per cell]
O (0.248, 0.255, 0.250) [8 per cell]

Most intense lines, 2θ from 10° to 90°, low angle first:
2θ 22.54, I 31, hkl 1 1 0; 2θ 32.09, I 100, hkl 2 0 0; 2θ 39.57, I 24, hkl 2 0 2; 2θ 46.01, I 29, hkl 2 2 0; 2θ 51.82, I 16, hkl 2 2 2; 2θ 57.20, I 40, hkl 3 1 2; 2θ 67.11, I 18, hkl 4 0 0; 2θ 71.78, I 9, hkl 0 4 2; 2θ 76.34, I 18, hkl 4 2 0; 2θ 80.80, I 9, hkl 4 2 2; 2θ 85.21, I 6, hkl 4 0 4; 2θ 89.59, I 4, hkl 5 1 0

=====

No. 2
Starting from a crystal structure in the Materials Project, relaxed with PBE+U, the X-ray diffraction stick pattern of KVI2O8 was computed for Cu Kα, 1.54184 Å.
Kinematic intensities with the Lorentz-polarization factor, no thermal factor.

Structural model:
abc: 9.793 5.308 16.487
angles: 90.00 110.78 90.00
Space group P2_1/c (No. 14)
Asymmetric unit:
K (0.086, 0.227, 0.410) [4 per cell]
V (0.301, 0.720, 0.314) [4 per cell]
I (0.226, 0.225, 0.180) [4 per cell]
I (0.438, 0.674, 0.071) [4 per cell]
O (0.074, 0.239, 0.079) [4 per cell]
O (0.156, 0.553, 0.723) [4 per cell]
O (0.160, 0.035, 0.741) [4 per cell]
O (0.264, 0.681, 0.405) [4 per cell]
O (0.302, 0.681, 0.124) [4 per cell]
O (0.383, 0.128, 0.516) [4 per cell]
O (0.396, 0.054, 0.335) [4 per cell]
O (0.452, 0.557, 0.323) [4 per cell]

Most intense lines, 2θ from 10° to 90°, low angle first:
2θ 17.47, I 45, hkl 1 0 2; 2θ 18.71, I 44, hkl 2 0 -2; 2θ 20.68, I 41, hkl 1 1 -2; 2θ 24.35, I 45, hkl 2 0 -4; 2θ 25.18, I 77, hkl 2 1 -2; 2θ 25.70, I 63, hkl 2 1 0; 2θ 25.92, I 31, hkl 2 0 2; 2θ 28.62, I 100, hkl 0 1 4; 2θ 31.00, I 30, hkl 2 1 2; 2θ 33.77, I 29, hkl 0 2 0; 2θ 46.03, I 28, hkl 4 1 -6; 2θ 48.46, I 24, hkl 4 1 2

=====

No. 3
Starting from a crystal structure in the Materials Project, relaxed with PBE+U, the X-ray diffraction stick pattern of NiH2O2 was computed for Cu Kα, 1.54184 Å.
Kinematic intensities with the Lorentz-polarization factor, no thermal factor.

Structural model:
abc: 3.144 3.147 6.720
angles: 86.23 86.03 60.04
Space group P1 (No. 1)
Asymmetric unit:
Ni (0.000, 0.000, 0.000) [1 per cell]
H (0.360, 0.358, 0.703) [1 per cell]
H (0.645, 0.636, 0.297) [1 per cell]
O (0.348, 0.347, 0.847) [1 per cell]
O (0.651, 0.654, 0.153) [1 per cell]

Most intense lines, 2θ from 10° to 90°, low angle first:
2θ 13.21, I 100, hkl 0 0 1; 2θ 26.61, I 7, hkl 0 0 2; 2θ 32.89, I 6, hkl 0 1 0; 2θ 32.99, I 4, hkl 1 1 0; 2θ 35.08, I 16, hkl 0 1 1; 2θ 36.67, I 8, hkl 1 1 -1; 2θ 41.88, I 7, hkl 1 0 2; 2θ 41.98, I 7, hkl 0 1 2; 2θ 44.56, I 6, hkl 1 1 -2; 2θ 51.85, I 3, hkl 1 0 3; 2θ 58.85, I 4, hkl 2 1 0; 2θ 59.60, I 4, hkl 2 1 1